Theoretical PXRD pattern of AcMn3In4O12 for λ = 1.5418 Å (Cu Kα), from a structure optimized by DFT (GGA+U).

Most intense lines, 5 to 70 degrees two-theta, by angle:
- 15.70°, intensity 19, hkl 1 1 0
- 27.36°, intensity 8, hkl 2 1 1
- 31.70°, intensity 100, hkl 2 2 0
- 35.56°, intensity 11, hkl 3 1 0
- 42.36°, intensity 12, hkl 3 2 1
- 45.44°, intensity 22, hkl 4 0 0
- 48.37°, intensity 3, hkl 4 1 1
- 56.46°, intensity 47, hkl 4 2 2
- 58.99°, intensity 5, hkl 4 1 3
- 66.21°, intensity 12, hkl 4 4 0

Structural model:
abc: 7.9842 7.9842 7.9842
angles: 90.00 90.00 90.00
Space group Im-3 (No. 204)
One atom of each set of equivalent atoms:
Ac: 0.0000 0.0000 0.0000 [2 per cell]
Mn: 0.0000 0.0000 0.5000 [6 per cell]
In: 0.2500 0.2500 0.2500 [8 per cell]
O: 0.0000 0.1631 0.3165 [24 per cell]